Entry 1:
# LiFe4P3O12
Theoretical powder diffractogram, Cu Kα (weighted mean of Kα1 and Kα2). Input: a DFT-relaxed cell (GGA+U, Alexandria).
No peak broadening, texture or thermal motion is included.

Principal peaks in the range 10 to 80 degrees two-theta, low angle first:
- d = 8.194 Å, 10.80°, intensity 55
- d = 6.501 Å, 13.62°, intensity 26
- d = 3.396 Å, 26.25°, intensity 64
- d = 3.127 Å, 28.54°, intensity 38
- d = 2.952 Å, 30.28°, intensity 30
- d = 2.921 Å, 30.61°, intensity 21
- d = 2.768 Å, 32.35°, intensity 100
- d = 2.638 Å, 33.98°, intensity 21
- d = 2.586 Å, 34.69°, intensity 37
- d = 2.149 Å, 42.04°, intensity 22
- d = 2.091 Å, 43.27°, intensity 19
- d = 1.715 Å, 53.44°, intensity 17

Cell and atoms:
```
data_LiFe4P3O12
_symmetry_space_group_name_H-M 'P 1'
_symmetry_Int_Tables_number 1
_cell_length_a 8.8020
_cell_length_b 8.8020
_cell_length_c 6.5752
_cell_angle_alpha 107.97
_cell_angle_beta 107.97
_cell_angle_gamma 95.22
loop_
_symmetry_equiv_pos_as_xyz
'x,y,z'
loop_
_atom_site_label
_atom_site_type_symbol
_atom_site_fract_x
_atom_site_fract_y
_atom_site_fract_z
Li1 Li 0.0171 0.9829 0.5000
Li2 Li 0.9829 0.0171 0.0000
Fe1 Fe 0.0863 0.3945 0.8390
Fe2 Fe 0.3076 0.7669 0.4873
Fe3 Fe 0.3945 0.0863 0.3390
Fe4 Fe 0.5041 0.5190 0.2677
Fe5 Fe 0.5190 0.5041 0.7677
Fe6 Fe 0.6589 0.9733 0.0999
Fe7 Fe 0.7669 0.3076 0.9873
Fe8 Fe 0.9733 0.6589 0.5999
P1 P 0.1487 0.3615 0.3404
P2 P 0.3359 0.7240 0.9773
P3 P 0.3615 0.1487 0.8404
P4 P 0.6968 0.9174 0.6034
P5 P 0.7240 0.3359 0.4773
P6 P 0.9174 0.6968 0.1034
O1 O 0.0281 0.3664 0.1130
O2 O 0.0453 0.7221 0.3455
O3 O 0.0733 0.4154 0.5274
O4 O 0.1761 0.1848 0.2917
O5 O 0.1848 0.1761 0.7917
O6 O 0.2225 0.7425 0.7593
O7 O 0.3122 0.8318 0.1921
O8 O 0.3133 0.4914 0.4186
O9 O 0.3220 0.5462 0.9870
O10 O 0.3664 0.0281 0.6130
O11 O 0.4154 0.0733 0.0274
O12 O 0.4914 0.3133 0.9186
O13 O 0.5103 0.7463 0.9595
O14 O 0.5462 0.3220 0.4870
O15 O 0.5653 0.7612 0.5470
O16 O 0.6373 0.9931 0.4197
O17 O 0.7221 0.0453 0.8455
O18 O 0.7425 0.2225 0.2593
O19 O 0.7463 0.5103 0.4595
O20 O 0.7612 0.5653 0.0470
O21 O 0.8318 0.3122 0.6921
O22 O 0.8691 0.8773 0.6274
O23 O 0.8773 0.8691 0.1274
O24 O 0.9931 0.6373 0.9197
```


Entry 2:
# PmMoO3
Theoretical powder diffractogram, Cu Kα (weighted mean of Kα1 and Kα2). Input: a DFT-relaxed cell (GGA+U, Alexandria).
No peak broadening, texture or thermal motion is included.

Principal peaks in the range 10 to 80 degrees two-theta, low angle first:
- d = 4.102 Å, 21.66°, intensity 70
- d = 3.212 Å, 27.78°, intensity 81
- d = 3.004 Å, 29.74°, intensity 100
- d = 2.982 Å, 29.96°, intensity 46
- d = 2.822 Å, 31.71°, intensity 79
- d = 2.790 Å, 32.09°, intensity 98
- d = 2.657 Å, 33.73°, intensity 68
- d = 2.566 Å, 34.96°, intensity 67
- d = 2.363 Å, 38.09°, intensity 51
- d = 2.267 Å, 39.77°, intensity 76
- d = 1.937 Å, 46.91°, intensity 44
- d = 1.716 Å, 53.41°, intensity 56

Cell and atoms:
```
data_PmMoO3
_symmetry_space_group_name_H-M 'P 1'
_symmetry_Int_Tables_number 1
_cell_length_a 5.9577
_cell_length_b 3.4877
_cell_length_c 6.4738
_cell_angle_alpha 90.00
_cell_angle_beta 97.16
_cell_angle_gamma 90.00
loop_
_symmetry_equiv_pos_as_xyz
'x,y,z'
loop_
_atom_site_label
_atom_site_type_symbol
_atom_site_fract_x
_atom_site_fract_y
_atom_site_fract_z
Pm1 Pm 0.1139 0.2500 0.2790
Pm2 Pm 0.8861 0.7500 0.7210
Mo1 Mo 0.4082 0.2500 0.8507
Mo2 Mo 0.5918 0.7500 0.1493
O1 O 0.1058 0.2500 0.6470
O2 O 0.2368 0.7500 0.0130
O3 O 0.4962 0.2500 0.3038
O4 O 0.5038 0.7500 0.6962
O5 O 0.7632 0.2500 0.9870
O6 O 0.8942 0.7500 0.3530
```